Calculated X-ray powder pattern
Compound: LiV2O3F
Radiation: Cu Ka
Structure: a structure optimized by DFT (PBE+U)
Peak positions follow from Bragg's law for the DFT cell and can differ from measured ones.

Atomic structure:
Cell: 10.246 4.947 5.908 Å, 90.00 90.00 90.00°
Positions (direct):
1 Li 0.091 0.042 0.000
2 Li 0.409 0.542 0.500
3 Li 0.591 0.458 0.000
4 Li 0.909 0.958 0.500
5 V 0.012 0.481 0.252
6 V 0.228 0.987 0.483
7 V 0.272 0.487 0.983
8 V 0.488 0.981 0.752
9 V 0.512 0.019 0.252
10 V 0.728 0.513 0.483
11 V 0.772 0.013 0.983
12 V 0.988 0.519 0.752
13 O 0.072 0.746 0.497
14 O 0.097 0.672 0.999
15 O 0.173 0.242 0.241
16 O 0.327 0.742 0.741
17 O 0.403 0.172 0.499
18 O 0.428 0.246 0.997
19 O 0.572 0.754 0.497
20 O 0.597 0.828 0.999
21 O 0.673 0.258 0.241
22 O 0.827 0.758 0.741
23 O 0.903 0.328 0.499
24 O 0.928 0.254 0.997
25 F 0.162 0.242 0.744
26 F 0.338 0.742 0.244
27 F 0.662 0.258 0.744
28 F 0.838 0.758 0.244

Top 6 peaks for 5° ≤ 2θ ≤ 70°, in order of rising 2θ:
19.93°, rel. 69; 25.03°, rel. 100; 31.84°, rel. 48; 35.06°, rel. 39; 39.64°, rel. 49; 51.37°, rel. 98